# 1
The following is a calculated powder diffraction line list of LaPr2DyEr2. It was derived from a structure optimized by DFT (GGA-PBE), using CuKα.
Lines closer than 0.1° are merged.

Peak list (12 most intense, 15 to 90 degrees two-theta, in order of falling intensity)
31.01°, I = 100; 31.17°, I = 75; 31.30°, I = 37; 55.37°, I = 33; 61.54°, I = 32; 55.59°, I = 27; 44.62°, I = 25; 44.50°, I = 12; 79.29°, I = 10; 51.59°, I = 9; 65.02°, I = 9; 40.45°, I = 9

Cell and atoms:
a b c (Å): 7.0867 9.9518 5.7151
angles (deg): 90.00 90.00 90.00
Fractional coordinates of all 12 atoms:
La 0.0000 0.0000 0.0000
La 0.5000 0.5000 0.5000
Pr 0.2461 0.3335 0.0000
Pr 0.2539 0.8335 0.5000
Pr 0.7461 0.1665 0.5000
Pr 0.7539 0.6665 0.0000
Dy 0.0000 0.5000 0.5000
Dy 0.5000 0.0000 0.0000
Er 0.2494 0.1670 0.5000
Er 0.2506 0.6670 0.0000
Er 0.7494 0.3330 0.0000
Er 0.7506 0.8330 0.5000



# 2
The following is a calculated powder diffraction line list of MoIr2Rh2. It was derived from a structure optimized by DFT (GGA-PBE), using CuKα.
Lines closer than 0.1° are merged.

Peak list (12 most intense, 15 to 90 degrees two-theta, in order of falling intensity)
40.05°, I = 100; 40.87°, I = 99; 43.21°, I = 48; 43.44°, I = 44; 62.94°, I = 32; 83.09°, I = 26; 44.81°, I = 19; 78.20°, I = 18; 53.95°, I = 16; 77.97°, I = 15; 22.40°, I = 15; 77.42°, I = 15

Cell and atoms:
a b c (Å): 2.7342 6.8348 6.8348
angles (deg): 35.49 90.00 90.00
Fractional coordinates of all 5 atoms:
Mo 0.0000 0.0000 0.0000
Ir 0.5000 0.5884 0.5884
Ir 0.5000 0.8056 0.8056
Rh 0.0000 0.1958 0.1958
Rh 0.0000 0.3967 0.3967



# 3
The following is a calculated powder diffraction line list of Pu2Pa2FeSi4. It was derived from a structure optimized by DFT (GGA-PBE), using CuKα.
Lines closer than 0.1° are merged.

Peak list (12 most intense, 15 to 90 degrees two-theta, in order of falling intensity)
26.50°, I = 100; 35.09°, I = 88; 37.83°, I = 64; 22.58°, I = 33; 45.88°, I = 31; 36.75°, I = 31; 66.55°, I = 28; 44.51°, I = 25; 54.58°, I = 22; 61.67°, I = 20; 87.28°, I = 17; 60.92°, I = 15

Cell and atoms:
a b c (Å): 6.1748 6.1748 6.1748
angles (deg): 114.00 114.00 100.75
Fractional coordinates of all 9 atoms:
Pu 0.1828 0.1828 0.0000
Pu 0.8172 0.8172 0.0000
Pa 0.2500 0.7500 0.5000
Pa 0.7500 0.2500 0.5000
Fe 0.5000 0.5000 0.0000
Si 0.2618 0.2618 0.5237
Si 0.2618 0.7382 0.0000
Si 0.7382 0.2618 0.0000
Si 0.7382 0.7382 0.4763



# 4
The following is a calculated powder diffraction line list of Ca4U3CdAs8. It was derived from a structure optimized by DFT (GGA-PBE), using CuKα.
Lines closer than 0.1° are merged.

Peak list (12 most intense, 15 to 90 degrees two-theta, in order of falling intensity)
30.34°, I = 100; 43.17°, I = 37; 43.71°, I = 37; 25.20°, I = 22; 54.13°, I = 19; 72.01°, I = 16; 71.24°, I = 16; 45.75°, I = 13; 39.55°, I = 13; 79.92°, I = 12; 63.12°, I = 12; 33.07°, I = 8

Cell and atoms:
a b c (Å): 8.3828 8.3828 8.3828
angles (deg): 59.22 59.22 59.22
Fractional coordinates of all 16 atoms:
Ca 0.0000 0.0000 0.0000
Ca 0.0000 0.5000 0.5000
Ca 0.5000 0.0000 0.5000
Ca 0.5000 0.5000 0.0000
U 0.0000 0.0000 0.5000
U 0.0000 0.5000 0.0000
U 0.5000 0.0000 0.0000
Cd 0.5000 0.5000 0.5000
As 0.2333 0.7487 0.7487
As 0.2437 0.2437 0.2437
As 0.2513 0.2513 0.7667
As 0.2513 0.7667 0.2513
As 0.7487 0.2333 0.7487
As 0.7487 0.7487 0.2333
As 0.7563 0.7563 0.7563
As 0.7667 0.2513 0.2513